# 1
For VGaPd6, a structure optimized by DFT (GGA-PBE) gives the theoretical powder diffractogram in this record (copper Kα).
Kinematic intensities with the Lorentz-polarization factor, no thermal factor.

Most intense lines, 10 to 90 degrees two-theta, in order of falling intensity:
two_theta	I/Imax
39.97	100
46.49	48
81.76	35
67.86	30
86.25	10
22.76	5
32.41	4
52.37	2
57.81	1
72.60	1
34.44	1
77.22	1

abc: 3.907 3.907 7.813
angles: 90.00 90.00 90.00
Positions (direct):
V  0.000  0.000  0.000
Ga  0.000  0.000  0.500
Pd  0.000  0.500  0.244
Pd  0.000  0.500  0.756
Pd  0.500  0.000  0.244
Pd  0.500  0.000  0.756
Pd  0.500  0.500  0.000
Pd  0.500  0.500  0.500

***

# 2
For LiHo2PtO5, a structure optimized by DFT (GGA-PBE) gives the theoretical powder diffractogram in this record (copper Kα).
Kinematic intensities with the Lorentz-polarization factor, no thermal factor.

Most intense lines, 10 to 90 degrees two-theta, in order of falling intensity:
two_theta	I/Imax
31.65	100
19.38	84
30.87	68
34.62	60
47.05	60
44.22	45
24.78	24
15.29	24
66.55	23
39.34	22
50.82	21
36.71	21

abc: 6.478 6.478 5.793
angles: 90.00 90.00 90.00
Positions (direct):
Li  0.000  0.000  0.000
Li  0.500  0.500  0.000
Ho  0.175  0.325  0.500
Ho  0.325  0.825  0.500
Ho  0.675  0.175  0.500
Ho  0.825  0.675  0.500
Pt  0.000  0.500  0.000
Pt  0.500  0.000  0.000
O  0.000  0.000  0.500
O  0.139  0.639  0.261
O  0.139  0.639  0.739
O  0.361  0.139  0.261
O  0.361  0.139  0.739
O  0.500  0.500  0.500
O  0.639  0.861  0.261
O  0.639  0.861  0.739
O  0.861  0.361  0.261
O  0.861  0.361  0.739

***

# 3
For Ho7Al2Co2, a structure optimized by DFT (GGA-PBE) gives the theoretical powder diffractogram in this record (copper Kα).
Kinematic intensities with the Lorentz-polarization factor, no thermal factor.

Most intense lines, 10 to 90 degrees two-theta, in order of falling intensity:
two_theta	I/Imax
28.54	100
39.09	77
33.17	52
29.86	41
38.21	34
26.15	25
62.03	23
35.23	20
47.39	19
12.99	19
56.46	19
59.07	18

abc: 6.625 6.625 6.815
angles: 90.00 90.00 109.22
Positions (direct):
Ho  0.000  0.000  0.000
Ho  0.000  0.500  0.250
Ho  0.000  0.500  0.750
Ho  0.500  0.000  0.250
Ho  0.500  0.000  0.750
Ho  0.500  0.500  0.243
Ho  0.500  0.500  0.757
Al  0.168  0.168  0.500
Al  0.832  0.832  0.500
Co  0.294  0.706  0.000
Co  0.706  0.294  0.000

***

# 4
For AlTc3B, a structure optimized by DFT (GGA-PBE) gives the theoretical powder diffractogram in this record (copper Kα).
Kinematic intensities with the Lorentz-polarization factor, no thermal factor.

Most intense lines, 10 to 90 degrees two-theta, in order of falling intensity:
two_theta	I/Imax
36.59	100
44.43	60
21.80	43
42.84	26
47.36	22
60.14	17
51.44	16
32.90	16
76.64	15
68.99	14
69.11	13
53.95	11

abc: 6.154 6.154 6.333
angles: 90.00 90.00 120.00
Positions (direct):
Al  0.000  0.000  0.000
Al  0.333  0.667  0.667
Al  0.667  0.333  0.333
Tc  0.191  0.383  0.298
Tc  0.191  0.809  0.298
Tc  0.284  0.142  0.631
Tc  0.525  0.049  0.965
Tc  0.525  0.475  0.965
Tc  0.617  0.809  0.298
Tc  0.858  0.142  0.631
Tc  0.858  0.716  0.631
Tc  0.951  0.475  0.965
B  0.000  0.000  0.372
B  0.333  0.667  0.039
B  0.667  0.333  0.706

***

# 5
For HfUS4, a structure optimized by DFT (GGA-PBE) gives the theoretical powder diffractogram in this record (copper Kα).
Kinematic intensities with the Lorentz-polarization factor, no thermal factor.

Most intense lines, 10 to 90 degrees two-theta, in order of falling intensity:
two_theta	I/Imax
13.43	100
26.99	44
30.17	40
30.38	31
38.44	22
47.66	19
49.96	18
38.71	14
49.60	13
38.83	10
57.63	8
49.78	8

abc: 6.596 3.813 6.614
angles: 90.00 90.80 90.00
Positions (direct):
Hf  0.000  0.000  0.000
U  0.000  0.500  0.500
S  0.213  0.500  0.848
S  0.218  0.000  0.320
S  0.782  0.000  0.680
S  0.787  0.500  0.152

***

# 6
For Tm2NiP3Ir4, a structure optimized by DFT (GGA-PBE) gives the theoretical powder diffractogram in this record (copper Kα).
Kinematic intensities with the Lorentz-polarization factor, no thermal factor.

Most intense lines, 10 to 90 degrees two-theta, in order of falling intensity:
two_theta	I/Imax
36.42	100
44.90	59
35.33	52
32.67	48
51.82	25
58.39	25
27.28	24
77.21	23
28.64	20
70.95	20
65.38	19
48.97	19

abc: 4.037 4.037 9.807
angles: 90.00 90.00 90.00
Positions (direct):
Tm  0.000  0.500  0.242
Tm  0.500  0.000  0.758
Ni  0.500  0.500  0.000
P  0.000  0.000  0.000
P  0.000  0.500  0.639
P  0.500  0.000  0.361
Ir  0.000  0.000  0.500
Ir  0.000  0.500  0.868
Ir  0.500  0.000  0.132
Ir  0.500  0.500  0.500

***

# 7
For KMgTi2O6, a structure optimized by DFT (GGA-PBE) gives the theoretical powder diffractogram in this record (copper Kα).
Kinematic intensities with the Lorentz-polarization factor, no thermal factor.

Most intense lines, 10 to 90 degrees two-theta, in order of falling intensity:
two_theta	I/Imax
21.46	100
25.16	77
31.78	61
27.08	53
15.11	52
29.08	52
12.67	42
31.45	41
53.26	38
41.06	32
30.56	29
45.44	29

abc: 7.542 7.542 6.378
angles: 104.54 104.54 102.03
Positions (direct):
K  0.107  0.893  0.750
K  0.893  0.107  0.250
Mg  0.204  0.796  0.250
Mg  0.796  0.204  0.750
Ti  0.281  0.431  0.831
Ti  0.431  0.281  0.331
Ti  0.569  0.719  0.669
Ti  0.719  0.569  0.169
O  0.055  0.248  0.720
O  0.205  0.630  0.959
O  0.248  0.055  0.220
O  0.342  0.422  0.552
O  0.370  0.795  0.541
O  0.422  0.342  0.052
O  0.578  0.658  0.948
O  0.630  0.205  0.459
O  0.658  0.578  0.448
O  0.752  0.945  0.780
O  0.795  0.370  0.041
O  0.945  0.752  0.280

***

# 8
For ScIn2Hg6, a structure optimized by DFT (GGA-PBE) gives the theoretical powder diffractogram in this record (copper Kα).
Kinematic intensities with the Lorentz-polarization factor, no thermal factor.

Most intense lines, 10 to 90 degrees two-theta, in order of falling intensity:
two_theta	I/Imax
33.79	100
37.56	44
31.09	43
36.01	39
38.92	33
43.59	23
58.45	15
71.40	14
66.72	14
63.32	13
62.00	12
28.65	12

abc: 8.198 8.198 4.685
angles: 98.10 98.10 131.76
Positions (direct):
Sc  0.000  0.000  0.000
In  0.169  0.831  0.500
In  0.831  0.169  0.500
Hg  0.163  0.474  0.164
Hg  0.321  0.321  0.664
Hg  0.474  0.163  0.164
Hg  0.526  0.837  0.836
Hg  0.679  0.679  0.336
Hg  0.837  0.526  0.836